Structure and calculated powder XRD pattern of NbTlC (a crystal structure in Alexandria, relaxed with PBE; Cu Kα (λ = 1.5418 Å)).

Peak list (6 most intense, 2θ = 10–80°, in order of falling intensity)
| two_theta | I/Imax |
| --- | --- |
| 32.68 | 1000 |
| 32.50 | 684 |
| 40.16 | 507 |
| 24.37 | 259 |
| 58.09 | 213 |
| 29.23 | 183 |

Structural model:
Cell lengths 4.4913, 4.4915, 10.9590 Å; angles 90.00, 90.51, 90.00 degrees
Space group C2/m (No. 12)
Asymmetric unit:
1 Nb 0.2479 0.0000 0.4033
2 Tl 0.2407 0.5000 0.1493
3 C 0.2479 0.5000 0.4019


Structure and calculated powder XRD pattern of Pr7Tl2Cd (a crystal structure in Alexandria, relaxed with PBE; Cu Kα (λ = 1.5418 Å)).

Peak list (6 most intense, 2θ = 10–80°, in order of falling intensity)
| two_theta | I/Imax |
| --- | --- |
| 32.81 | 1000 |
| 58.54 | 284 |
| 47.09 | 177 |
| 19.93 | 142 |
| 38.68 | 90 |
| 78.28 | 80 |

Structural model:
Cell lengths 5.4645, 5.4645, 13.3406 Å; angles 90.00, 90.00, 120.00 degrees
Space group P3m1 (No. 156)
Asymmetric unit:
1 Pr 0.0000 0.0000 0.0000
2 Pr 0.0000 0.0000 0.2632
3 Pr 0.0000 0.0000 0.7358
4 Pr 0.3333 0.6667 0.4121
5 Pr 0.3333 0.6667 0.8851
6 Pr 0.6667 0.3333 0.1268
7 Pr 0.6667 0.3333 0.5868
8 Tl 0.0000 0.0000 0.4992
9 Tl 0.6667 0.3333 0.8453
10 Cd 0.3333 0.6667 0.1472


Structure and calculated powder XRD pattern of Al3V12C8 (a crystal structure in Alexandria, relaxed with PBE; Cu Kα (λ = 1.5418 Å)).

Peak list (6 most intense, 2θ = 10–80°, in order of falling intensity)
| two_theta | I/Imax |
| --- | --- |
| 42.98 | 1000 |
| 40.80 | 741 |
| 38.94 | 444 |
| 63.63 | 427 |
| 39.74 | 401 |
| 77.69 | 280 |

Structural model:
Cell lengths 5.0661, 5.0661, 22.6817 Å; angles 90.00, 90.00, 120.00 degrees
Space group P6_3/mcm (No. 193)
Asymmetric unit:
1 Al 0.0000 0.3289 0.2500
2 V 0.0000 0.0000 0.1527
3 V 0.0000 0.3547 0.0547
4 V 0.3333 0.6667 0.1562
5 C 0.0000 0.3325 0.6066
6 C 0.3333 0.6667 0.0000


Structure and calculated powder XRD pattern of TaTlP2Se8 (a crystal structure in Alexandria, relaxed with PBE; Cu Kα (λ = 1.5418 Å)).

Peak list (6 most intense, 2θ = 10–80°, in order of falling intensity)
| two_theta | I/Imax |
| --- | --- |
| 33.85 | 1000 |
| 29.56 | 683 |
| 20.34 | 682 |
| 49.54 | 450 |
| 47.69 | 438 |
| 17.22 | 273 |

Structural model:
Cell lengths 6.3738, 6.3738, 28.5624 Å; angles 90.00, 90.00, 120.00 degrees
Space group R-3 (No. 148, hexagonal axes)
Asymmetric unit:
1 Ta 0.0000 0.0000 0.0000
2 Tl 0.0000 0.0000 0.5000
3 P 0.0000 0.0000 0.2589
4 Se 0.0000 0.0000 0.1840
5 Se 0.0075 0.3250 0.6160